Theoretical X-ray powder pattern
Compound: Pr2SnI3
Radiation: Cu Ka
Structure: DFT lattice parameters and positions (GGA-PBE)

Structure:
Cell lengths 10.531, 10.531, 14.160 Å; angles 127.32, 127.32, 24.36 degrees
Fractional positions:
Pr (0.110, 0.110, 0.434)
Pr (0.372, 0.372, 0.176)
Pr (0.628, 0.628, 0.824)
Pr (0.890, 0.890, 0.566)
Sn (0.066, 0.066, 0.625)
Sn (0.934, 0.934, 0.375)
I (0.173, 0.173, 0.028)
I (0.257, 0.257, 0.384)
I (0.454, 0.454, 0.776)
I (0.546, 0.546, 0.224)
I (0.743, 0.743, 0.616)
I (0.827, 0.827, 0.972)

Peak list (6 most intense, 10 to 80 degrees two-theta, in order of rising 2θ)
- 12.55°, intensity 79
- 23.46°, intensity 91
- 24.03°, intensity 80
- 29.17°, intensity 100
- 37.57°, intensity 91
- 40.61°, intensity 83



Theoretical X-ray powder pattern
Compound: TbSmCo
Radiation: Cu Ka
Structure: DFT lattice parameters and positions (GGA-PBE)

Structure:
Cell lengths 3.403, 6.827, 6.871 Å; angles 104.42, 104.30, 90.05 degrees
Fractional positions:
Tb (0.126, 0.063, 0.253)
Tb (0.874, 0.937, 0.747)
Sm (0.127, 0.564, 0.255)
Sm (0.873, 0.436, 0.745)
Co (0.500, 0.242, 0.001)
Co (0.500, 0.758, 0.999)

Peak list (6 most intense, 10 to 80 degrees two-theta, in order of rising 2θ)
- 27.07°, intensity 49
- 27.73°, intensity 30
- 33.59°, intensity 100
- 37.31°, intensity 62
- 44.09°, intensity 40
- 47.12°, intensity 29



Theoretical X-ray powder pattern
Compound: LiIn4Hg8
Radiation: Cu Ka
Structure: DFT lattice parameters and positions (GGA-PBE)

Structure:
Cell lengths 6.442, 6.442, 14.966 Å; angles 98.44, 98.44, 33.38 degrees
Fractional positions:
Li (0.000, 0.000, 0.000)
In (0.047, 0.047, 0.217)
In (0.139, 0.139, 0.719)
In (0.399, 0.399, 0.702)
In (0.485, 0.485, 0.386)
Hg (0.216, 0.216, 0.400)
Hg (0.352, 0.352, 0.059)
Hg (0.576, 0.576, 0.878)
Hg (0.655, 0.655, 0.083)
Hg (0.699, 0.699, 0.564)
Hg (0.809, 0.809, 0.258)
Hg (0.825, 0.825, 0.861)
Hg (0.951, 0.951, 0.542)

Peak list (6 most intense, 10 to 80 degrees two-theta, in order of rising 2θ)
- 30.42°, intensity 56
- 30.84°, intensity 39
- 31.77°, intensity 48
- 33.74°, intensity 100
- 35.89°, intensity 34
- 36.45°, intensity 37



Theoretical X-ray powder pattern
Compound: Fe2Os
Radiation: Cu Ka
Structure: DFT lattice parameters and positions (GGA-PBE)

Structure:
Cell lengths 4.023, 4.023, 2.561 Å; angles 90.00, 90.00, 120.00 degrees
Fractional positions:
Fe (0.333, 0.667, 0.000)
Fe (0.667, 0.333, 0.000)
Os (0.000, 0.000, 0.500)

Peak list (6 most intense, 10 to 80 degrees two-theta, in order of rising 2θ)
- 25.57°, intensity 55
- 43.88°, intensity 100
- 45.07°, intensity 71
- 52.53°, intensity 8
- 64.72°, intensity 31
- 71.67°, intensity 7



> What is the formula in the first record?

Pr2SnI3



> Number 2 is which compound?

TbSmCo